# 1
This entry pairs a crystal structure of Re4As6S3 with its simulated PXRD pattern. Radiation: Cu Kα (weighted mean of Kα1 and Kα2). Structure: a structure optimized by DFT (PBE).
Lines closer than 0.1° are merged.

The 10 most intense peaks (10 to 90 degrees two-theta), sorted by position:
2θ/deg  I (rel.)
15.3  100
17.7  20
29.6  47
35.9  64
39.2  22
44.4  38
47.2  47
51.6  21
51.7  23
81.6  19

a = 7.0704 Å, b = 7.0704 Å, c = 17.3874 Å
α = 90.00°, β = 90.00°, γ = 120.00°
Space group R3m (No. 160, hexagonal axes)
One atom of each set of equivalent atoms:
Re1 0.0000 0.0000 0.0000 x3
Re2 0.2007 0.4013 0.7974 x9
As1 0.0000 0.0000 0.2393 x3
As2 0.0000 0.0000 0.6000 x3
As3 0.0000 0.0000 0.7428 x3
As4 0.1915 0.3830 0.5509 x9
S1 0.1748 0.3497 0.0556 x9


# 2
This entry pairs a crystal structure of Re4As5S4 with its simulated PXRD pattern. Radiation: Cu Kα (weighted mean of Kα1 and Kα2). Structure: a structure optimized by DFT (PBE).
Lines closer than 0.1° are merged.

The 10 most intense peaks (10 to 90 degrees two-theta), sorted by position:
2θ/deg  I (rel.)
15.3  100
17.7  20
29.5  44
35.8  55
39.2  37
44.2  46
47.1  61
51.6  38
66.6  21
81.4  29

a = 10.0280 Å, b = 10.0280 Å, c = 10.0280 Å
α = 90.00°, β = 90.00°, γ = 90.00°
Space group F-43m (No. 216)
One atom of each set of equivalent atoms:
Re1 0.0989 0.0989 0.0989 x16
As1 0.0000 0.0000 0.5000 x4
As2 0.1447 0.1447 0.3553 x16
S1 0.1309 0.1309 0.8691 x16


# 3
This entry pairs a crystal structure of AsRh with its simulated PXRD pattern. Radiation: Cu Kα (weighted mean of Kα1 and Kα2). Structure: a structure optimized by DFT (PBE).
Lines closer than 0.1° are merged.

The 10 most intense peaks (10 to 90 degrees two-theta), sorted by position:
2θ/deg  I (rel.)
28.5  33
32.6  49
33.0  26
41.5  53
42.8  100
43.1  35
47.0  18
50.1  47
51.1  30
85.3  20

a = 5.7242 Å, b = 3.6425 Å, c = 6.1598 Å
α = 90.00°, β = 90.00°, γ = 90.00°
Space group Pnma (No. 62)
One atom of each set of equivalent atoms:
As1 0.1953 0.2500 0.0851 x4
Rh1 0.0029 0.2500 0.6944 x4


# 4
This entry pairs a crystal structure of SrAs2Rh2 with its simulated PXRD pattern. Radiation: Cu Kα (weighted mean of Kα1 and Kα2). Structure: a structure optimized by DFT (PBE).
Lines closer than 0.1° are merged.

The 10 most intense peaks (10 to 90 degrees two-theta), sorted by position:
2θ/deg  I (rel.)
14.7  53
31.2  77
34.3  100
43.3  49
44.1  64
55.0  30
55.7  39
64.1  21
74.8  20
78.9  21

a = 4.1084 Å, b = 4.1084 Å, c = 12.0239 Å
α = 90.00°, β = 90.00°, γ = 90.00°
Space group I4/mmm (No. 139)
One atom of each set of equivalent atoms:
Sr1 0.0000 0.0000 0.0000 x2
As1 0.0000 0.0000 0.3650 x4
Rh1 0.0000 0.5000 0.2500 x4


# 5
This entry pairs a crystal structure of Sr6As19Rh30 with its simulated PXRD pattern. Radiation: Cu Kα (weighted mean of Kα1 and Kα2). Structure: a structure optimized by DFT (PBE).
Lines closer than 0.1° are merged.

The 10 most intense peaks (10 to 90 degrees two-theta), sorted by position:
2θ/deg  I (rel.)
16.6  12
35.7  100
44.7  21
44.9  13
45.7  28
46.1  16
48.6  27
68.9  18
77.9  11
80.9  14

a = 16.3328 Å, b = 16.3328 Å, c = 3.9718 Å
α = 90.00°, β = 90.00°, γ = 120.00°
Space group P3 (No. 143)
One atom of each set of equivalent atoms:
Sr1 0.0370 0.2737 0.0000 x3
Sr2 0.4302 0.3700 0.4998 x3
As1 0.0156 0.1164 0.5002 x3
As2 0.0781 0.5492 0.9997 x3
As3 0.1945 0.4114 0.4982 x3
As4 0.2698 0.2325 0.0003 x3
As5 0.3333 0.6667 0.6598 x1
As6 0.3966 0.1007 0.4991 x3
As7 0.5660 0.3489 0.9995 x3
Rh1 0.0572 0.4408 0.4982 x3
Rh2 0.0697 0.8194 0.5001 x3
Rh3 0.1079 0.0932 0.0003 x3
Rh4 0.1076 0.7176 0.0008 x3
Rh5 0.1805 0.6418 0.4993 x3
Rh6 0.2110 0.5199 0.9964 x3
Rh7 0.2596 0.1301 0.5007 x3
Rh8 0.4070 0.2037 0.9986 x3
Rh9 0.4862 0.0831 0.9996 x3
Rh10 0.5583 0.2396 0.4998 x3


# 6
This entry pairs a crystal structure of TeAsRh with its simulated PXRD pattern. Radiation: Cu Kα (weighted mean of Kα1 and Kα2). Structure: a structure optimized by DFT (PBE).
Lines closer than 0.1° are merged.

The 10 most intense peaks (10 to 90 degrees two-theta), sorted by position:
2θ/deg  I (rel.)
28.6  39
32.1  100
35.2  74
40.9  26
48.4  88
52.9  24
55.1  41
69.0  21
79.9  27
88.7  23

a = 6.2368 Å, b = 6.2368 Å, c = 6.2368 Å
α = 90.00°, β = 90.00°, γ = 90.00°
Space group P2_13 (No. 198)
One atom of each set of equivalent atoms:
Te1 0.1219 0.3781 0.6219 x4
As1 0.1232 0.1232 0.1232 x4
Rh1 0.0104 0.9896 0.4896 x4